Entry 1:
The following is a calculated powder XRD pattern of LiTb3Ir2. It was derived from a crystal structure in Alexandria, relaxed with PBE, using Cu Kα, 1.54184 Å.
Neutral-atom scattering factors, no anomalous dispersion.

Structural model:
```
data_LiTb3Ir2
_symmetry_space_group_name_H-M 'I b a m'
_symmetry_Int_Tables_number 72
_symmetry_space_group_name_Hall '-I 2 2c'
_cell_length_a 6.617
_cell_length_b 12.878
_cell_length_c 7.077
_cell_angle_alpha 90.00
_cell_angle_beta 90.00
_cell_angle_gamma 90.00
loop_
_atom_site_label
_atom_site_type_symbol
_atom_site_fract_x
_atom_site_fract_y
_atom_site_fract_z
_atom_site_occupancy
Li1 Li 0.000 0.000 0.000 1
Tb1 Tb 0.000 0.219 0.250 1
Tb2 Tb 0.000 0.500 0.250 1
Ir1 Ir 0.205 0.360 0.000 1
```

Largest 10 diffraction maxima, most intense first, 2θ = 10–80°:
2θ 23.0, I = 100
2θ 37.2, I = 71
2θ 37.8, I = 59
2θ 39.0, I = 48
2θ 35.6, I = 48
2θ 46.3, I = 32
2θ 15.1, I = 26
2θ 13.8, I = 25
2θ 66.6, I = 20
2θ 43.1, I = 20

Entry 2:
The following is a calculated powder XRD pattern of LiTi3Ir3. It was derived from a crystal structure in Alexandria, relaxed with PBE, using Cu Kα, 1.54184 Å.
Neutral-atom scattering factors, no anomalous dispersion.

Structural model:
```
data_LiTi3Ir3
_symmetry_space_group_name_H-M 'C m m m'
_symmetry_Int_Tables_number 65
_symmetry_space_group_name_Hall '-C 2 2'
_cell_length_a 8.617
_cell_length_b 8.723
_cell_length_c 5.903
_cell_angle_alpha 90.00
_cell_angle_beta 90.00
_cell_angle_gamma 90.00
loop_
_atom_site_label
_atom_site_type_symbol
_atom_site_fract_x
_atom_site_fract_y
_atom_site_fract_z
_atom_site_occupancy
Li1 Li 0.231 0.000 0.000 1
Ti1 Ti 0.000 0.224 0.500 1
Ti2 Ti 0.000 0.255 0.000 1
Ti3 Ti 0.247 0.000 0.500 1
Ir1 Ir 0.000 0.500 0.253 1
Ir2 Ir 0.250 0.250 0.250 1
```

Largest 10 diffraction maxima, most intense first, 2θ = 10–80°:
2θ 42.5, I = 100
2θ 29.1, I = 48
2θ 14.4, I = 46
2θ 41.4, I = 26
2θ 41.9, I = 26
2θ 30.3, I = 22
2θ 20.4, I = 17
2θ 60.4, I = 17
2θ 77.0, I = 17
2θ 76.3, I = 17

Repeat the second record exactly.
The following is a calculated powder XRD pattern of LiTi3Ir3. It was derived from a crystal structure in Alexandria, relaxed with PBE, using Cu Kα, 1.54184 Å.
Neutral-atom scattering factors, no anomalous dispersion.

Structural model:
```
data_LiTi3Ir3
_symmetry_space_group_name_H-M 'C m m m'
_symmetry_Int_Tables_number 65
_symmetry_space_group_name_Hall '-C 2 2'
_cell_length_a 8.617
_cell_length_b 8.723
_cell_length_c 5.903
_cell_angle_alpha 90.00
_cell_angle_beta 90.00
_cell_angle_gamma 90.00
loop_
_atom_site_label
_atom_site_type_symbol
_atom_site_fract_x
_atom_site_fract_y
_atom_site_fract_z
_atom_site_occupancy
Li1 Li 0.231 0.000 0.000 1
Ti1 Ti 0.000 0.224 0.500 1
Ti2 Ti 0.000 0.255 0.000 1
Ti3 Ti 0.247 0.000 0.500 1
Ir1 Ir 0.000 0.500 0.253 1
Ir2 Ir 0.250 0.250 0.250 1
```

Largest 10 diffraction maxima, most intense first, 2θ = 10–80°:
2θ 42.5, I = 100
2θ 29.1, I = 48
2θ 14.4, I = 46
2θ 41.4, I = 26
2θ 41.9, I = 26
2θ 30.3, I = 22
2θ 20.4, I = 17
2θ 60.4, I = 17
2θ 77.0, I = 17
2θ 76.3, I = 17